Computed PXRD pattern of MgZnInRh for Cu Kα, 1.54184 Å, from a DFT-relaxed cell (PBE, Alexandria).
Peak positions follow from Bragg's law for the DFT cell and can differ from measured ones.

The 10 most intense peaks (2θ = 10–90°), by intensity:
| 2θ/deg | d [Å] | I/Imax |
| --- | --- | --- |
| 38.37 | 2.346 | 100 |
| 43.12 | 2.098 | 36 |
| 21.19 | 4.194 | 21 |
| 82.19 | 1.173 | 20 |
| 66.05 | 1.415 | 19 |
| 31.62 | 2.830 | 16 |
| 47.47 | 1.915 | 13 |
| 75.83 | 1.255 | 13 |
| 75.94 | 1.253 | 13 |
| 62.62 | 1.484 | 11 |

Crystal structure
a b c (Å): 3.831 4.192 4.200
angles (deg): 90.00 90.00 90.00
Sites, in units of the cell vectors:
Mg  0.000  0.000  0.000
Zn  0.500  0.000  0.500
In  0.000  0.500  0.500
Rh  0.500  0.500  0.000

Computed PXRD pattern of Th2MgInRu for Cu Kα, 1.54184 Å, from a DFT-relaxed cell (PBE, Alexandria).
Peak positions follow from Bragg's law for the DFT cell and can differ from measured ones.

The 10 most intense peaks (2θ = 10–90°), by intensity:
| 2θ/deg | d [Å] | I/Imax |
| --- | --- | --- |
| 31.40 | 2.849 | 100 |
| 31.94 | 2.802 | 92 |
| 28.02 | 3.184 | 92 |
| 39.27 | 2.294 | 67 |
| 11.07 | 7.992 | 64 |
| 34.21 | 2.621 | 52 |
| 31.20 | 2.867 | 48 |
| 24.98 | 3.565 | 47 |
| 45.43 | 1.997 | 40 |
| 26.38 | 3.378 | 38 |

Crystal structure
a b c (Å): 8.277 3.993 8.411
angles (deg): 90.00 108.16 90.00
Sites, in units of the cell vectors:
Th  0.010  0.250  0.225
Th  0.341  0.750  0.585
Th  0.659  0.250  0.415
Th  0.990  0.750  0.775
Mg  0.352  0.250  0.928
Mg  0.648  0.750  0.072
In  0.319  0.750  0.177
In  0.681  0.250  0.823
Ru  0.116  0.250  0.616
Ru  0.884  0.750  0.384

Computed PXRD pattern of Mg2V3InS8 for Cu Kα, 1.54184 Å, from a DFT-relaxed cell (PBE, Alexandria).
Peak positions follow from Bragg's law for the DFT cell and can differ from measured ones.

The 10 most intense peaks (2θ = 10–90°), by intensity:
| 2θ/deg | d [Å] | I/Imax |
| --- | --- | --- |
| 34.47 | 2.602 | 100 |
| 14.86 | 5.960 | 81 |
| 28.51 | 3.131 | 62 |
| 50.19 | 1.818 | 47 |
| 48.90 | 1.863 | 46 |
| 27.99 | 3.188 | 29 |
| 45.32 | 2.001 | 23 |
| 45.67 | 1.987 | 17 |
| 24.49 | 3.635 | 16 |
| 62.32 | 1.490 | 15 |

Crystal structure
a b c (Å): 7.455 7.455 7.455
angles (deg): 58.37 58.37 58.37
Sites, in units of the cell vectors:
Mg  0.127  0.127  0.127
Mg  0.873  0.873  0.873
V  0.000  0.500  0.500
V  0.500  0.000  0.500
V  0.500  0.500  0.000
In  0.500  0.500  0.500
S  0.250  0.250  0.721
S  0.250  0.721  0.250
S  0.262  0.262  0.262
S  0.279  0.750  0.750
S  0.721  0.250  0.250
S  0.738  0.738  0.738
S  0.750  0.279  0.750
S  0.750  0.750  0.279

Computed PXRD pattern of Mg2InSb for Cu Kα, 1.54184 Å, from a DFT-relaxed cell (PBE, Alexandria).
Peak positions follow from Bragg's law for the DFT cell and can differ from measured ones.

The 10 most intense peaks (2θ = 10–90°), by intensity:
| 2θ/deg | d [Å] | I/Imax |
| --- | --- | --- |
| 33.73 | 2.658 | 100 |
| 34.31 | 2.614 | 96 |
| 21.07 | 4.216 | 67 |
| 26.03 | 3.423 | 40 |
| 36.53 | 2.460 | 40 |
| 26.76 | 3.332 | 38 |
| 38.79 | 2.321 | 34 |
| 42.90 | 2.108 | 25 |
| 59.21 | 1.560 | 23 |
| 42.55 | 2.125 | 22 |

Crystal structure
a b c (Å): 3.337 4.216 6.858
angles (deg): 90.00 93.32 90.00
Sites, in units of the cell vectors:
Mg  0.005  0.000  0.245
Mg  0.995  0.000  0.755
In  0.500  0.500  0.000
Sb  0.500  0.500  0.500